This entry pairs a crystal structure of LiBiP4O12 with its calculated X-ray diffraction stick pattern. Radiation: copper Kα. Structure: a crystal structure in the Materials Project, relaxed with GGA-PBE.
Lines closer than 0.1° are merged.

Structure:
Cell: 7.2208 8.5436 7.9908 Å, 90.00 92.27 90.00°
Space group P2_1 (No. 4)
Inequivalent atoms, fractional coordinates:
Li (0.1657, 0.0000, 0.3856)
Bi (0.2709, 0.3772, 0.7684)
P (0.0666, 0.0065, 0.9057)
P (0.1232, 0.6351, 0.4013)
P (0.3989, 0.7989, 0.8870)
P (0.4857, 0.0191, 0.6001)
O (0.0498, 0.5043, 0.2712)
O (0.0589, 0.7959, 0.3478)
O (0.0659, 0.4787, 0.9577)
O (0.0814, 0.5793, 0.5740)
O (0.1835, 0.8488, 0.8746)
O (0.1898, 0.1471, 0.9248)
O (0.3113, 0.1172, 0.5903)
O (0.3409, 0.6334, 0.3743)
O (0.4130, 0.6396, 0.8104)
O (0.4696, 0.8262, 0.0647)
O (0.4944, 0.4123, 0.5471)
O (0.4954, 0.4263, 0.2247)

Peak list (6 most intense, 2θ = 10–90°, low angle first)
d [Å], 2θ (°), I (rel.)
5.834, 15.19, 100
5.512, 16.08, 84
5.462, 16.23, 75
5.251, 16.89, 87
3.365, 26.49, 56
3.281, 27.18, 59

This entry pairs a crystal structure of LiBiP2O7 with its calculated X-ray diffraction stick pattern. Radiation: copper Kα. Structure: a crystal structure in the Materials Project, relaxed with GGA-PBE.
Lines closer than 0.1° are merged.

Structure:
Cell: 7.3120 8.8242 9.9711 Å, 90.00 109.42 90.00°
Space group P2_1/c (No. 14)
Inequivalent atoms, fractional coordinates:
Li (0.2109, 0.0689, 0.2264)
Bi (0.2505, 0.5011, 0.2580)
P (0.1504, 0.7173, 0.9392)
P (0.4083, 0.2469, 0.0338)
O (0.0488, 0.6342, 0.3783)
O (0.0598, 0.5779, 0.8473)
O (0.1848, 0.7004, 0.0978)
O (0.3325, 0.2442, 0.8701)
O (0.3356, 0.1115, 0.5872)
O (0.3572, 0.7312, 0.9120)
O (0.3831, 0.0970, 0.1034)

Peak list (6 most intense, 2θ = 10–90°, low angle first)
d [Å], 2θ (°), I (rel.)
5.351, 16.57, 100
4.247, 20.92, 50
3.448, 25.84, 19
3.217, 27.73, 59
3.088, 28.92, 27
2.339, 38.49, 24

This entry pairs a crystal structure of LiBiP2O7 with its calculated X-ray diffraction stick pattern. Radiation: copper Kα. Structure: a crystal structure in the Materials Project, relaxed with GGA-PBE.
Lines closer than 0.1° are merged.

Structure:
Cell: 5.2475 8.4076 13.4405 Å, 90.00 112.87 90.00°
Space group P2_1/c (No. 14)
Inequivalent atoms, fractional coordinates:
Li (0.2458, 0.1398, 0.4014)
Bi (0.4672, 0.6966, 0.7762)
P (0.0709, 0.5267, 0.3362)
P (0.1595, 0.7101, 0.9796)
O (0.0264, 0.1511, 0.8417)
O (0.1427, 0.1740, 0.5401)
O (0.1793, 0.5992, 0.4557)
O (0.2024, 0.1087, 0.2327)
O (0.2562, 0.6193, 0.9005)
O (0.3018, 0.5598, 0.2932)
O (0.3689, 0.6921, 0.0957)

Peak list (6 most intense, 2θ = 10–90°, low angle first)
d [Å], 2θ (°), I (rel.)
6.192, 14.30, 100
4.831, 18.36, 72
4.198, 21.16, 64
3.246, 27.48, 59
3.171, 28.14, 89
3.025, 29.53, 44

This entry pairs a crystal structure of LiBiP4O12 with its calculated X-ray diffraction stick pattern. Radiation: copper Kα. Structure: a crystal structure in the Materials Project, relaxed with GGA-PBE.
Lines closer than 0.1° are merged.

Structure:
Cell: 8.0841 11.8931 10.3781 Å, 90.00 96.29 90.00°
Space group C2/c (No. 15)
Inequivalent atoms, fractional coordinates:
Li (0.0000, 0.1710, 0.2500)
Bi (0.0000, 0.1190, 0.7500)
P (0.0278, 0.3142, 0.5060)
P (0.2380, 0.4749, 0.9438)
O (0.0568, 0.2493, 0.1042)
O (0.1094, 0.3745, 0.9125)
O (0.1161, 0.4200, 0.4459)
O (0.1385, 0.2543, 0.6114)
O (0.1608, 0.0391, 0.9272)
O (0.1726, 0.0146, 0.1766)

Peak list (6 most intense, 2θ = 10–90°, low angle first)
d [Å], 2θ (°), I (rel.)
6.658, 13.30, 53
5.841, 15.17, 60
5.376, 16.49, 51
5.152, 17.21, 80
3.909, 22.75, 100
3.413, 26.11, 46

This entry pairs a crystal structure of LiBiP2O7 with its calculated X-ray diffraction stick pattern. Radiation: copper Kα. Structure: a crystal structure in the Materials Project, relaxed with GGA-PBE.
Lines closer than 0.1° are merged.

Structure:
Cell: 9.1348 5.2248 14.3884 Å, 90.00 115.72 90.00°
Space group P2_1/c (No. 14)
Inequivalent atoms, fractional coordinates:
Li (0.0731, 0.2234, 0.2039)
Bi (0.2439, 0.2392, 0.9774)
P (0.1817, 0.7157, 0.1201)
P (0.3035, 0.7499, 0.3392)
O (0.0310, 0.6574, 0.6224)
O (0.1640, 0.0770, 0.6077)
O (0.1864, 0.5331, 0.8368)
O (0.2182, 0.0105, 0.8313)
O (0.2344, 0.6659, 0.5425)
O (0.3271, 0.7228, 0.7336)
O (0.4704, 0.7330, 0.9274)

Peak list (6 most intense, 2θ = 10–90°, low angle first)
d [Å], 2θ (°), I (rel.)
6.481, 13.66, 40
4.411, 20.13, 14
4.118, 21.58, 100
3.306, 26.97, 15
2.961, 30.18, 20
2.631, 34.08, 16

> Which formula does entry 2 have?

LiBiP2O7